# 1
Diffraction record for LiFe2S3O12. The X-ray powder pattern is theoretical, not measured: it uses a crystal structure in the Materials Project, relaxed with GGA+U and λ = 1.5418 Å (Cu Kα).

Structure:
```
LiFe2S3O12
1.0
4.3342 2.5023 7.1216
-4.3342 2.5023 7.1216
0.0000 -5.0047 7.1216
Li Fe S O
2 4 6 24
Cartesian
0.0000 0.0000 0.0000
0.0000 0.0000 10.6824
0.0000 0.0000 3.0838
0.0000 0.0000 7.5986
0.0000 0.0000 13.7663
0.0000 0.0000 18.2810
-3.0553 -0.2873 8.9020
-1.2789 -2.7896 12.4628
1.7764 -2.5023 8.9020
-1.7764 2.5023 12.4628
1.2789 2.7896 8.9020
3.0553 0.2873 12.4628
-3.4855 -0.9932 10.1222
-3.6775 1.0698 8.8182
-2.7653 -2.6499 12.5466
-0.8826 -1.4895 6.5614
-0.8826 -3.5152 11.2427
-1.5689 -0.1476 8.9858
0.9123 -3.7197 8.8182
-0.8487 1.5091 6.5614
-2.6029 2.5219 11.2427
-0.6566 -1.4325 12.3790
0.9123 -1.2849 8.9858
-1.7313 0.0196 14.8035
1.7313 -0.0196 6.5614
-0.9123 1.2849 12.3790
0.6567 1.4325 8.9858
2.6029 -2.5219 10.1222
0.8487 -1.5091 14.8035
-0.9123 3.7197 12.5466
1.5689 0.1476 12.3791
0.8826 3.5152 10.1222
0.8826 1.4895 14.8035
2.7653 2.6499 8.8182
3.6775 -1.0698 12.5466
3.4855 0.9932 11.2427
```

Most intense lines, 2θ = 15–90°, sorted by position:
| 2theta | Rel. int. |
| --- | --- |
| 20.44 | 58 |
| 24.04 | 100 |
| 29.08 | 26 |
| 32.54 | 32 |
| 35.87 | 34 |
| 56.13 | 19 |

***

# 2
Diffraction record for MgCo5P8O28. The X-ray powder pattern is theoretical, not measured: it uses a crystal structure in the Materials Project, relaxed with GGA+U and λ = 1.5418 Å (Cu Kα).

Structure:
```
MgCo5P8O28
1.0
7.3691 0.0000 0.0000
0.6594 7.7771 0.0000
0.3466 2.9594 9.7348
Mg Co P O
1 5 8 28
Cartesian
0.0000 0.0000 0.0000
2.2143 8.3335 3.1311
2.6915 9.6567 7.4693
3.8261 4.4666 7.0360
5.5330 5.5272 1.3544
5.8298 6.9829 6.4577
1.1289 4.9855 0.2877
1.4721 6.7466 7.2999
2.1687 3.3790 4.5186
3.1057 0.4637 0.3492
4.0399 5.6519 4.0589
5.4563 5.5290 9.5748
6.6505 8.9118 4.1303
6.1799 2.1412 6.8638
0.8732 7.1180 8.7333
0.8770 4.0815 4.4006
1.5921 4.0531 1.3215
2.2968 7.8803 6.7152
2.4366 8.9898 9.4159
1.7491 0.5836 1.1038
2.2907 5.4676 7.4590
2.3690 2.0229 3.7922
2.6565 3.1262 6.0016
3.0437 6.7054 3.6544
3.1985 3.2291 8.5691
3.4069 4.2204 3.8898
3.7786 1.9080 0.4900
4.4623 5.7507 5.5630
4.7198 7.2090 0.9223
5.0687 5.8316 8.0900
5.2982 5.6022 3.1655
5.2604 3.8934 0.5906
5.6534 7.9277 4.7794
5.3166 3.3914 6.7277
5.4036 2.1615 3.2396
6.0118 8.7108 7.3758
6.5984 4.5670 9.7287
6.7816 1.7824 5.4293
7.2704 5.9503 0.6858
7.5657 6.4054 6.4756
7.7751 8.0998 3.4001
7.3980 2.4573 7.7504
```

Most intense lines, 2θ = 15–90°, sorted by position:
| 2theta | Rel. int. |
| --- | --- |
| 17.62 | 66 |
| 18.24 | 59 |
| 26.00 | 30 |
| 27.47 | 100 |
| 27.93 | 49 |
| 28.37 | 30 |

***

# 3
Diffraction record for Fe3NiSn2P6O24. The X-ray powder pattern is theoretical, not measured: it uses a crystal structure in the Materials Project, relaxed with GGA+U and λ = 1.5418 Å (Cu Kα).

Structure:
```
Fe3NiSn2P6O24
1.0
4.3456 2.5089 7.0409
-4.3456 2.5089 7.0409
0.0000 -5.0179 7.0409
Fe Ni Sn P O
3 1 2 6 24
Cartesian
0.0000 0.0000 0.0000
0.0000 0.0000 4.2785
0.0000 0.0000 10.5406
0.0000 0.0000 14.8479
0.0000 0.0000 7.3849
0.0000 0.0000 17.9441
-1.2872 -2.8082 9.1919
-2.5454 -0.0088 12.6679
-1.7884 2.5189 9.1919
1.2803 -2.1999 12.6679
3.0756 0.2893 9.1919
1.2650 2.2087 12.6679
-0.9144 -3.5466 7.9064
-1.5257 -0.0707 5.7092
-3.5019 -1.2921 12.4763
-0.8205 -3.5181 10.4450
-2.6143 2.5652 7.9064
-0.6710 -1.3754 9.0615
0.8241 -1.2859 5.7092
-1.7168 0.0127 11.3923
-2.6365 2.4696 10.4450
-0.8556 1.2689 9.0615
0.7016 1.3566 5.7092
-1.7798 -0.0467 13.9549
0.8474 -1.4932 11.3923
-0.8526 -1.2339 16.4109
1.5267 0.1066 9.0615
0.9304 -1.5179 13.9549
0.8694 1.4805 11.3923
2.8700 -2.3867 12.4763
-0.6423 1.3553 16.4109
3.5286 0.9815 7.9064
0.8494 1.5647 13.9549
0.6320 3.6788 12.4763
1.4949 -0.1215 16.4109
3.4570 1.0485 10.4450
```

Most intense lines, 2θ = 15–90°, sorted by position:
| 2theta | Rel. int. |
| --- | --- |
| 20.44 | 100 |
| 24.07 | 57 |
| 32.74 | 87 |
| 35.79 | 41 |
| 46.95 | 27 |
| 49.28 | 33 |

***

# 4
Diffraction record for MgFe2Ni2O6. The X-ray powder pattern is theoretical, not measured: it uses a crystal structure in the Materials Project, relaxed with GGA+U and λ = 1.5418 Å (Cu Kα).

Structure:
```
MgFe2Ni2O6
1.0
2.5676 1.4824 4.9792
-2.5676 1.4824 4.9792
0.0000 -2.9648 4.9792
Mg Fe Ni O
1 2 2 6
Cartesian
0.0000 0.0000 0.0000
0.0000 0.0000 2.6251
0.0000 0.0000 12.3124
0.0000 0.0000 5.3696
0.0000 0.0000 9.5679
-1.8596 0.0031 6.2143
-0.9325 -1.6089 8.7233
0.9271 -1.6120 6.2143
-0.9271 1.6120 8.7233
0.9325 1.6089 6.2143
1.8596 -0.0031 8.7233
```

Most intense lines, 2θ = 15–90°, sorted by position:
| 2theta | Rel. int. |
| --- | --- |
| 23.28 | 32 |
| 31.28 | 41 |
| 34.95 | 100 |
| 36.22 | 35 |
| 51.10 | 79 |
| 62.67 | 39 |

***

# 5
Diffraction record for K2Mo3O10. The X-ray powder pattern is theoretical, not measured: it uses a crystal structure in the Materials Project, relaxed with GGA+U and λ = 1.5418 Å (Cu Kα).

Structure:
```
K2Mo3O10
1.0
7.1854 -4.0565 0.0000
7.1854 4.0565 0.0000
-1.3886 0.0000 9.0087
K Mo O
4 6 20
Cartesian
2.4335 0.7634 1.4075
1.7392 -0.7634 5.9118
11.2429 0.7634 3.0969
10.5486 -0.7634 7.6012
6.8382 2.4304 2.2522
4.9730 0.6254 4.3336
4.2787 -0.6254 8.8380
8.7034 0.6254 0.1707
8.0091 -0.6254 4.6750
6.1439 -2.4304 6.7565
6.2316 3.5153 1.0292
7.4448 3.5153 3.4751
5.0152 1.9465 2.9102
4.3453 1.5578 5.6617
2.9787 0.4223 8.2844
3.6730 -0.4223 3.7801
8.6612 1.9465 1.5941
6.7008 0.7191 0.8149
6.9757 0.7191 3.6894
7.9425 1.5578 7.8513
5.0396 -1.5578 1.1573
6.0065 -0.7191 5.3192
6.2813 -0.7191 8.1938
4.3209 -1.9465 7.4146
9.3091 0.4223 5.2286
10.0034 -0.4223 0.7243
8.6368 -1.5578 3.3470
7.9669 -1.9465 6.0984
5.5373 -3.5153 5.5335
6.7505 -3.5153 7.9795
```

Most intense lines, 2θ = 15–90°, sorted by position:
| 2theta | Rel. int. |
| --- | --- |
| 16.55 | 94 |
| 22.62 | 60 |
| 24.24 | 56 |
| 25.07 | 94 |
| 26.46 | 97 |
| 29.60 | 100 |

***

# 6
Diffraction record for Li9Mn2Co5O16. The X-ray powder pattern is theoretical, not measured: it uses a crystal structure in the Materials Project, relaxed with GGA+U and λ = 1.5418 Å (Cu Kα).

Structure:
```
Li9Mn2Co5O16
1.0
5.8212 0.0000 0.0000
2.9085 5.1228 0.0000
1.4577 1.0796 9.6364
Li Mn Co O
9 2 5 16
Cartesian
0.0000 0.0000 0.0000
2.9108 3.5087 2.3721
1.4349 0.8954 2.3947
5.8004 5.3058 7.2409
4.3677 2.7407 7.2727
5.8198 3.4617 2.3636
4.3871 0.8966 2.3954
8.7526 5.3071 7.2417
7.2767 2.6937 7.2643
1.4543 2.5614 0.0000
4.3649 2.5614 0.0000
2.9123 1.8210 4.8187
4.3666 4.3796 4.8141
2.9106 0.0000 0.0000
5.8209 1.8228 4.8222
7.2751 4.3814 4.8176
1.4573 1.0117 5.9586
2.9123 3.5835 5.9202
3.0106 1.9880 8.6188
4.3670 4.3784 8.5556
2.9097 1.9000 1.1288
4.4626 4.2146 1.0171
5.8191 5.1935 3.6930
4.3657 2.6273 3.7110
5.8217 3.5751 5.9254
4.3683 1.0089 5.9433
5.7248 1.9878 8.6193
7.2778 4.3024 8.5076
5.8205 1.8240 1.0808
7.1769 4.2144 1.0176
7.2752 2.6189 3.7161
8.7302 5.1908 3.6777
```

Most intense lines, 2θ = 15–90°, sorted by position:
| 2theta | Rel. int. |
| --- | --- |
| 18.42 | 100 |
| 35.46 | 15 |
| 36.11 | 25 |
| 42.80 | 29 |
| 43.92 | 53 |
| 62.85 | 15 |